# 1
For Cs2LiDyCl6, a structure optimized by DFT (GGA-PBE) gives the computed powder diffraction line list in this record (Cu Ka).

Structural model:
Cell: 7.510 7.510 7.510 Å, 60.00 60.00 60.00°
Positions (direct):
Cs  0.250  0.250  0.250
Cs  0.750  0.750  0.750
Li  0.000  0.000  0.000
Dy  0.500  0.500  0.500
Cl  0.251  0.251  0.749
Cl  0.251  0.749  0.251
Cl  0.251  0.749  0.749
Cl  0.749  0.251  0.251
Cl  0.749  0.251  0.749
Cl  0.749  0.749  0.251

Largest 12 diffraction maxima, by angle, 10 to 80 degrees two-theta:
- d 6.132, 2θ = 14.44°, rel. 41
- d 3.755, 2θ = 23.69°, rel. 100
- d 3.202, 2θ = 27.86°, rel. 26
- d 3.066, 2θ = 29.13°, rel. 33
- d 2.655, 2θ = 33.76°, rel. 68
- d 2.437, 2θ = 36.89°, rel. 12
- d 2.168, 2θ = 41.66°, rel. 46
- d 1.878, 2θ = 48.48°, rel. 46
- d 1.679, 2θ = 54.65°, rel. 21
- d 1.533, 2θ = 60.38°, rel. 16
- d 1.419, 2θ = 65.80°, rel. 25
- d 1.252, 2θ = 76.03°, rel. 12

# 2
For Sr2HfO4, a structure optimized by DFT (GGA-PBE) gives the computed powder diffraction line list in this record (Cu Ka).

Structural model:
Cell: 6.078 10.342 3.370 Å, 90.00 90.00 90.00°
Positions (direct):
Sr  0.066  0.179  0.000
Sr  0.434  0.679  0.000
Sr  0.566  0.321  0.000
Sr  0.934  0.821  0.000
Hf  0.000  0.500  0.500
Hf  0.500  0.000  0.500
O  0.131  0.684  0.500
O  0.212  0.454  0.000
O  0.288  0.954  0.000
O  0.369  0.184  0.500
O  0.631  0.816  0.500
O  0.712  0.046  0.000
O  0.788  0.546  0.000
O  0.869  0.316  0.500

Largest 12 diffraction maxima, by angle, 10 to 80 degrees two-theta:
- d 5.240, 2θ = 16.92°, rel. 57
- d 3.039, 2θ = 29.39°, rel. 34
- d 2.999, 2θ = 29.80°, rel. 95
- d 2.835, 2θ = 31.56°, rel. 100
- d 2.824, 2θ = 31.69°, rel. 45
- d 2.205, 2θ = 40.93°, rel. 18
- d 2.068, 2θ = 43.76°, rel. 51
- d 1.712, 2θ = 53.52°, rel. 17
- d 1.700, 2θ = 53.93°, rel. 16
- d 1.693, 2θ = 54.17°, rel. 37
- d 1.685, 2θ = 54.45°, rel. 15
- d 1.469, 2θ = 63.31°, rel. 23

# 3
For PmH3, a structure optimized by DFT (GGA-PBE) gives the computed powder diffraction line list in this record (Cu Ka).

Structural model:
Cell: 3.792 3.792 3.792 Å, 60.00 60.00 60.00°
Positions (direct):
Pm  0.000  0.000  0.000
H  0.250  0.250  0.250
H  0.500  0.500  0.500
H  0.750  0.750  0.750

Largest 7 diffraction maxima, by angle, 10 to 80 degrees two-theta:
- d 3.096, 2θ = 28.83°, rel. 100
- d 2.682, 2θ = 33.41°, rel. 51
- d 1.896, 2θ = 47.98°, rel. 39
- d 1.617, 2θ = 56.94°, rel. 45
- d 1.548, 2θ = 59.73°, rel. 13
- d 1.341, 2θ = 70.19°, rel. 6
- d 1.230, 2θ = 77.59°, rel. 18

# 4
For Ag2Bi2S3Cl2, a structure optimized by DFT (GGA-PBE) gives the computed powder diffraction line list in this record (Cu Ka).

Structural model:
Cell: 7.317 11.181 11.421 Å, 75.08 89.66 88.12°
Positions (direct):
Ag  0.014  0.290  0.300
Ag  0.244  0.494  0.148
Ag  0.245  0.505  0.648
Ag  0.483  0.691  0.204
Ag  0.517  0.309  0.796
Ag  0.755  0.495  0.352
Ag  0.756  0.506  0.852
Ag  0.986  0.710  0.700
Bi  0.073  0.800  0.340
Bi  0.112  0.205  0.984
Bi  0.390  0.798  0.842
Bi  0.427  0.201  0.487
Bi  0.573  0.799  0.513
Bi  0.610  0.202  0.158
Bi  0.888  0.795  0.016
Bi  0.927  0.200  0.660
S  0.006  0.369  0.779
S  0.096  0.655  0.911
S  0.119  0.341  0.486
S  0.375  0.657  0.415
S  0.403  0.347  0.987
S  0.493  0.633  0.718
S  0.507  0.367  0.282
S  0.597  0.653  0.013
S  0.625  0.343  0.585
S  0.881  0.659  0.514
S  0.904  0.345  0.089
S  0.994  0.631  0.221
Cl  0.222  0.907  0.567
Cl  0.237  0.898  0.060
Cl  0.265  0.096  0.261
Cl  0.287  0.105  0.763
Cl  0.713  0.895  0.237
Cl  0.735  0.904  0.739
Cl  0.763  0.102  0.940
Cl  0.778  0.093  0.433

Largest 12 diffraction maxima, by angle, 10 to 80 degrees two-theta:
- d 5.399, 2θ = 16.42°, rel. 100
- d 4.474, 2θ = 19.85°, rel. 30
- d 3.837, 2θ = 23.18°, rel. 35
- d 3.782, 2θ = 23.52°, rel. 53
- d 3.356, 2θ = 26.56°, rel. 44
- d 3.286, 2θ = 27.14°, rel. 84
- d 3.074, 2θ = 29.05°, rel. 30
- d 2.985, 2θ = 29.94°, rel. 42
- d 2.784, 2θ = 32.16°, rel. 44
- d 2.652, 2θ = 33.80°, rel. 47
- d 2.241, 2θ = 40.24°, rel. 46
- d 2.233, 2θ = 40.39°, rel. 43

# 5
For CaMg6Sb, a structure optimized by DFT (GGA-PBE) gives the computed powder diffraction line list in this record (Cu Ka).

Structural model:
Cell: 5.205 6.589 6.589 Å, 61.53 90.00 90.00°
Positions (direct):
Ca  0.000  0.000  0.000
Mg  0.000  0.493  0.493
Mg  0.000  0.503  0.994
Mg  0.000  0.994  0.503
Mg  0.500  0.171  0.646
Mg  0.500  0.646  0.171
Mg  0.500  0.661  0.661
Sb  0.500  0.164  0.164

Largest 12 diffraction maxima, by angle, 10 to 80 degrees two-theta:
- d 5.792, 2θ = 15.30°, rel. 56
- d 5.662, 2θ = 15.65°, rel. 18
- d 3.871, 2θ = 22.97°, rel. 32
- d 3.832, 2θ = 23.21°, rel. 22
- d 2.896, 2θ = 30.88°, rel. 30
- d 2.783, 2θ = 32.17°, rel. 21
- d 2.602, 2θ = 34.46°, rel. 36
- d 2.530, 2θ = 35.47°, rel. 100
- d 2.487, 2θ = 36.12°, rel. 50
- d 1.936, 2θ = 46.94°, rel. 18
- d 1.488, 2θ = 62.40°, rel. 18
- d 1.391, 2θ = 67.29°, rel. 19

# 6
For LuB6, a structure optimized by DFT (GGA-PBE) gives the computed powder diffraction line list in this record (Cu Ka).

Structural model:
Cell: 4.076 4.076 4.076 Å, 90.00 90.00 90.00°
Positions (direct):
Lu  0.000  0.000  0.000
B  0.198  0.500  0.500
B  0.500  0.198  0.500
B  0.500  0.500  0.198
B  0.500  0.500  0.802
B  0.500  0.802  0.500
B  0.802  0.500  0.500

Largest 10 diffraction maxima, by angle, 10 to 80 degrees two-theta:
- d 4.076, 2θ = 21.81°, rel. 73
- d 2.882, 2θ = 31.03°, rel. 100
- d 2.353, 2θ = 38.25°, rel. 42
- d 2.038, 2θ = 44.46°, rel. 21
- d 1.823, 2θ = 50.04°, rel. 51
- d 1.664, 2θ = 55.20°, rel. 30
- d 1.441, 2θ = 64.69°, rel. 11
- d 1.359, 2θ = 69.14°, rel. 28
- d 1.289, 2θ = 73.47°, rel. 20
- d 1.229, 2θ = 77.71°, rel. 13

# 7
For DyCuGe, a structure optimized by DFT (GGA-PBE) gives the computed powder diffraction line list in this record (Cu Ka).

Structural model:
Cell: 4.271 4.271 7.197 Å, 90.00 90.00 120.00°
Positions (direct):
Dy  0.000  0.000  0.000
Dy  0.000  0.000  0.500
Cu  0.333  0.667  0.286
Cu  0.667  0.333  0.786
Ge  0.333  0.667  0.724
Ge  0.667  0.333  0.224

Largest 12 diffraction maxima, by angle, 10 to 80 degrees two-theta:
- d 3.698, 2θ = 24.06°, rel. 19
- d 2.579, 2θ = 34.78°, rel. 100
- d 2.135, 2θ = 42.33°, rel. 52
- d 2.013, 2θ = 45.04°, rel. 5
- d 1.849, 2θ = 49.28°, rel. 3
- d 1.799, 2θ = 50.74°, rel. 8
- d 1.645, 2θ = 55.90°, rel. 25
- d 1.618, 2θ = 56.91°, rel. 6
- d 1.376, 2θ = 68.15°, rel. 18
- d 1.303, 2θ = 72.55°, rel. 23
- d 1.290, 2θ = 73.42°, rel. 3
- d 1.233, 2θ = 77.41°, rel. 9

What did the fourth record say?
For Ag2Bi2S3Cl2, a structure optimized by DFT (GGA-PBE) gives the computed powder diffraction line list in this record (Cu Ka).

Structural model:
Cell: 7.317 11.181 11.421 Å, 75.08 89.66 88.12°
Positions (direct):
Ag  0.014  0.290  0.300
Ag  0.244  0.494  0.148
Ag  0.245  0.505  0.648
Ag  0.483  0.691  0.204
Ag  0.517  0.309  0.796
Ag  0.755  0.495  0.352
Ag  0.756  0.506  0.852
Ag  0.986  0.710  0.700
Bi  0.073  0.800  0.340
Bi  0.112  0.205  0.984
Bi  0.390  0.798  0.842
Bi  0.427  0.201  0.487
Bi  0.573  0.799  0.513
Bi  0.610  0.202  0.158
Bi  0.888  0.795  0.016
Bi  0.927  0.200  0.660
S  0.006  0.369  0.779
S  0.096  0.655  0.911
S  0.119  0.341  0.486
S  0.375  0.657  0.415
S  0.403  0.347  0.987
S  0.493  0.633  0.718
S  0.507  0.367  0.282
S  0.597  0.653  0.013
S  0.625  0.343  0.585
S  0.881  0.659  0.514
S  0.904  0.345  0.089
S  0.994  0.631  0.221
Cl  0.222  0.907  0.567
Cl  0.237  0.898  0.060
Cl  0.265  0.096  0.261
Cl  0.287  0.105  0.763
Cl  0.713  0.895  0.237
Cl  0.735  0.904  0.739
Cl  0.763  0.102  0.940
Cl  0.778  0.093  0.433

Largest 12 diffraction maxima, by angle, 10 to 80 degrees two-theta:
- d 5.399, 2θ = 16.42°, rel. 100
- d 4.474, 2θ = 19.85°, rel. 30
- d 3.837, 2θ = 23.18°, rel. 35
- d 3.782, 2θ = 23.52°, rel. 53
- d 3.356, 2θ = 26.56°, rel. 44
- d 3.286, 2θ = 27.14°, rel. 84
- d 3.074, 2θ = 29.05°, rel. 30
- d 2.985, 2θ = 29.94°, rel. 42
- d 2.784, 2θ = 32.16°, rel. 44
- d 2.652, 2θ = 33.80°, rel. 47
- d 2.241, 2θ = 40.24°, rel. 46
- d 2.233, 2θ = 40.39°, rel. 43

What did the second record say?
For Sr2HfO4, a structure optimized by DFT (GGA-PBE) gives the computed powder diffraction line list in this record (Cu Ka).

Structural model:
Cell: 6.078 10.342 3.370 Å, 90.00 90.00 90.00°
Positions (direct):
Sr  0.066  0.179  0.000
Sr  0.434  0.679  0.000
Sr  0.566  0.321  0.000
Sr  0.934  0.821  0.000
Hf  0.000  0.500  0.500
Hf  0.500  0.000  0.500
O  0.131  0.684  0.500
O  0.212  0.454  0.000
O  0.288  0.954  0.000
O  0.369  0.184  0.500
O  0.631  0.816  0.500
O  0.712  0.046  0.000
O  0.788  0.546  0.000
O  0.869  0.316  0.500

Largest 12 diffraction maxima, by angle, 10 to 80 degrees two-theta:
- d 5.240, 2θ = 16.92°, rel. 57
- d 3.039, 2θ = 29.39°, rel. 34
- d 2.999, 2θ = 29.80°, rel. 95
- d 2.835, 2θ = 31.56°, rel. 100
- d 2.824, 2θ = 31.69°, rel. 45
- d 2.205, 2θ = 40.93°, rel. 18
- d 2.068, 2θ = 43.76°, rel. 51
- d 1.712, 2θ = 53.52°, rel. 17
- d 1.700, 2θ = 53.93°, rel. 16
- d 1.693, 2θ = 54.17°, rel. 37
- d 1.685, 2θ = 54.45°, rel. 15
- d 1.469, 2θ = 63.31°, rel. 23